The following is a simulated powder diffractogram of Tb2Nd7Mg2. It was derived from a crystal structure in Alexandria, relaxed with GGA-PBE, using Cu Kα, 1.54184 Å.
Intensities are scaled so that the largest is 100.

Cell and atoms:
Unit cell a=3.8130 b=11.3649 c=17.2374 alpha=90.00 beta=90.00 gamma=90.00
Space group Immm (No. 71)
Inequivalent atoms, fractional coordinates:
Tb1 0.0000 0.1953 0.0000 [4 per cell]
Nd1 0.0000 0.0000 0.1809 [4 per cell]
Nd2 0.0000 0.0000 0.5000 [2 per cell]
Nd3 0.0000 0.2324 0.3372 [8 per cell]
Mg1 0.0000 0.5000 0.1609 [4 per cell]

Principal peaks in the range 2θ = 10–90°, sorted by position:
h k l, 2θ/deg, I (rel.)
1 1 0, 24.63, 18
0 3 3, 28.22, 29
0 0 6, 31.13, 29
0 4 0, 31.49, 18
1 2 3, 32.28, 100
0 4 6, 44.87, 12
1 5 0, 46.51, 11
2 0 0, 47.71, 10
1 2 9, 56.12, 17
1 5 6, 57.03, 11

***

The following is a simulated powder diffractogram of Cd5In3. It was derived from a crystal structure in Alexandria, relaxed with GGA-PBE, using Cu Kα, 1.54184 Å.
Intensities are scaled so that the largest is 100.

Cell and atoms:
Unit cell a=3.2024 b=3.2024 c=18.9578 alpha=90.00 beta=90.00 gamma=90.00
Space group P4/mmm (No. 123)
Inequivalent atoms, fractional coordinates:
Cd1 0.0000 0.0000 0.0000 [1 per cell]
Cd2 0.0000 0.0000 0.2349 [2 per cell]
Cd3 0.5000 0.5000 0.1172 [2 per cell]
In1 0.0000 0.0000 0.5000 [1 per cell]
In2 0.5000 0.5000 0.3629 [2 per cell]

Principal peaks in the range 2θ = 10–90°, sorted by position:
h k l, 2θ/deg, I (rel.)
1 0 4, 33.78, 100
1 0 5, 36.73, 4
0 0 8, 37.97, 15
1 1 0, 39.81, 34
1 1 8, 56.18, 18
2 0 0, 57.56, 11
1 0 12, 65.93, 7
2 1 4, 68.44, 24
2 0 8, 71.04, 12
2 2 0, 85.83, 4

***

The following is a simulated powder diffractogram of PtI4. It was derived from a crystal structure in Alexandria, relaxed with GGA-PBE, using Cu Kα, 1.54184 Å.
Intensities are scaled so that the largest is 100.

Cell and atoms:
Unit cell a=6.9914 b=14.0757 c=16.1089 alpha=90.00 beta=90.00 gamma=90.00
Space group Pbca (No. 61)
Inequivalent atoms, fractional coordinates:
Pt1 0.1015 0.1820 0.1890 [8 per cell]
I1 0.0504 0.7051 0.9317 [8 per cell]
I2 0.0796 0.7118 0.6947 [8 per cell]
I3 0.2124 0.5733 0.3146 [8 per cell]
I4 0.2447 0.5690 0.0724 [8 per cell]

Principal peaks in the range 2θ = 10–90°, sorted by position:
h k l, 2θ/deg, I (rel.)
0 0 2, 10.98, 37
0 2 0, 12.58, 37
0 2 1, 13.73, 60
0 2 2, 16.76, 23
1 1 2, 17.94, 29
1 3 3, 28.30, 30
2 2 0, 28.54, 100
2 3 1, 32.42, 31
1 3 5, 36.18, 26
3 0 4, 44.94, 36